Computed powder diffractogram
Compound: Li3TiF6
Radiation: Cu Kα (weighted mean of Kα1 and Kα2)
Structure: the PBE geometry in Alexandria

The 10 most intense peaks (5 to 70 degrees two-theta), low angle first:
| Position (°2θ) | d (Å) | I (rel.) |
| --- | --- | --- |
| 19.95 | 4.450 | 37 |
| 20.35 | 4.365 | 60 |
| 20.90 | 4.251 | 100 |
| 22.47 | 3.956 | 35 |
| 28.41 | 3.142 | 39 |
| 30.22 | 2.957 | 27 |
| 38.74 | 2.324 | 61 |
| 40.70 | 2.217 | 34 |
| 40.80 | 2.212 | 59 |
| 62.60 | 1.484 | 44 |

Crystal structure
a = 8.5586 Å, b = 8.5586 Å, c = 10.2834 Å
α = 95.91°, β = 95.91°, γ = 62.68°
Sites, in units of the cell vectors:
Li: 0.0147 0.7052 0.2178
Li: 0.0592 0.3451 0.4280
Li: 0.1330 0.5272 0.9515
Li: 0.1967 0.8033 0.7500
Li: 0.2948 0.9853 0.2822
Li: 0.3290 0.6339 0.4751
Li: 0.3451 0.0592 0.9280
Li: 0.3661 0.6710 0.0249
Li: 0.4728 0.8670 0.5485
Li: 0.5272 0.1330 0.4515
Li: 0.6339 0.3290 0.9751
Li: 0.6549 0.9408 0.0720
Li: 0.6710 0.3661 0.5249
Li: 0.7052 0.0147 0.7178
Li: 0.8033 0.1967 0.2500
Li: 0.8670 0.4728 0.0485
Li: 0.9408 0.6549 0.5720
Li: 0.9853 0.2948 0.7822
Ti: 0.0000 0.0000 0.0000
Ti: 0.0000 0.0000 0.5000
Ti: 0.3357 0.3416 0.7077
Ti: 0.3416 0.3357 0.2077
Ti: 0.6584 0.6643 0.7923
Ti: 0.6643 0.6584 0.2923
F: 0.0701 0.0750 0.6682
F: 0.0750 0.0701 0.1682
F: 0.0963 0.7519 0.0597
F: 0.0956 0.7575 0.5710
F: 0.1016 0.4363 0.1131
F: 0.1073 0.4147 0.6067
F: 0.2230 0.2719 0.8442
F: 0.2425 0.9044 0.9290
F: 0.2433 0.5586 0.3107
F: 0.2458 0.5739 0.8122
F: 0.2481 0.9037 0.4403
F: 0.2719 0.2230 0.3442
F: 0.4108 0.4301 0.0640
F: 0.4147 0.1073 0.1067
F: 0.4261 0.7542 0.6878
F: 0.4301 0.4108 0.5640
F: 0.4363 0.1016 0.6131
F: 0.4414 0.7567 0.1893
F: 0.5586 0.2433 0.8107
F: 0.5637 0.8984 0.3869
F: 0.5699 0.5892 0.4360
F: 0.5739 0.2458 0.3122
F: 0.5853 0.8927 0.8933
F: 0.5892 0.5699 0.9360
F: 0.7281 0.7770 0.6558
F: 0.7519 0.0963 0.5597
F: 0.7542 0.4261 0.1878
F: 0.7567 0.4414 0.6893
F: 0.7575 0.0956 0.0710
F: 0.7770 0.7281 0.1558
F: 0.8927 0.5853 0.3933
F: 0.8984 0.5637 0.8869
F: 0.9044 0.2425 0.4290
F: 0.9037 0.2481 0.9403
F: 0.9250 0.9299 0.8318
F: 0.9299 0.9250 0.3318


Computed powder diffractogram
Compound: BaCaAl3P2H2O14
Radiation: Cu Kα (weighted mean of Kα1 and Kα2)
Structure: the PBE geometry in Alexandria

The 10 most intense peaks (5 to 70 degrees two-theta), low angle first:
| Position (°2θ) | d (Å) | I (rel.) |
| --- | --- | --- |
| 15.11 | 5.864 | 92 |
| 23.82 | 3.736 | 49 |
| 24.42 | 3.644 | 100 |
| 25.66 | 3.471 | 59 |
| 27.61 | 3.231 | 57 |
| 29.40 | 3.038 | 43 |
| 29.60 | 3.018 | 36 |
| 30.49 | 2.932 | 32 |
| 36.82 | 2.441 | 36 |
| 50.05 | 1.823 | 34 |

Crystal structure
a = 7.3200 Å, b = 7.3200 Å, c = 7.1903 Å
α = 117.67°, β = 117.67°, γ = 56.62°
Sites, in units of the cell vectors:
Ba: 0.0000 0.0000 0.0000
Ca: 0.4973 0.4973 0.5470
Al: 0.0247 0.5278 0.5225
Al: 0.5278 0.0247 0.5225
Al: 0.9914 0.9914 0.5434
P: 0.2834 0.2834 0.9024
P: 0.7259 0.7259 0.1371
H: 0.2815 0.2815 0.2894
H: 0.7282 0.7282 0.7218
O: 0.1284 0.4888 0.7997
O: 0.1355 0.7318 0.6124
O: 0.1467 0.1467 0.8325
O: 0.1963 0.9922 0.4373
O: 0.2851 0.2851 0.4310
O: 0.3679 0.3679 0.1509
O: 0.4888 0.1284 0.7997
O: 0.5112 0.8733 0.2249
O: 0.6596 0.6596 0.8895
O: 0.7240 0.7240 0.5796
O: 0.7318 0.1355 0.6124
O: 0.8674 0.8674 0.2352
O: 0.8733 0.5112 0.2249
O: 0.9922 0.1963 0.4373


Computed powder diffractogram
Compound: Rb6H
Radiation: Cu Kα (weighted mean of Kα1 and Kα2)
Structure: the PBE geometry in Alexandria

The 10 most intense peaks (5 to 70 degrees two-theta), low angle first:
| Position (°2θ) | d (Å) | I (rel.) |
| --- | --- | --- |
| 21.92 | 4.054 | 42 |
| 22.42 | 3.965 | 35 |
| 24.01 | 3.707 | 100 |
| 27.14 | 3.285 | 24 |
| 35.48 | 2.530 | 10 |
| 37.14 | 2.421 | 25 |
| 40.33 | 2.236 | 21 |
| 43.79 | 2.067 | 19 |
| 43.86 | 2.064 | 11 |
| 44.74 | 2.026 | 10 |

Crystal structure
a = 15.8619 Å, b = 14.5067 Å, c = 8.3974 Å
α = 90.00°, β = 90.00°, γ = 90.00°
Sites, in units of the cell vectors:
Rb: 0.0023 0.2500 0.2070
Rb: 0.0098 0.5949 0.2575
Rb: 0.0098 0.9051 0.2575
Rb: 0.2346 0.5958 0.9281
Rb: 0.2346 0.9042 0.9281
Rb: 0.2393 0.7500 0.3905
Rb: 0.2607 0.2500 0.8905
Rb: 0.2654 0.0958 0.4281
Rb: 0.2654 0.4042 0.4281
Rb: 0.4902 0.0949 0.7575
Rb: 0.4902 0.4051 0.7575
Rb: 0.4977 0.7500 0.7070
Rb: 0.5023 0.2500 0.2930
Rb: 0.5098 0.5949 0.2425
Rb: 0.5098 0.9051 0.2425
Rb: 0.7346 0.5958 0.5719
Rb: 0.7346 0.9042 0.5719
Rb: 0.7393 0.7500 0.1095
Rb: 0.7607 0.2500 0.6095
Rb: 0.7654 0.0958 0.0719
Rb: 0.7654 0.4042 0.0719
Rb: 0.9902 0.0949 0.7425
Rb: 0.9902 0.4051 0.7425
Rb: 0.9977 0.7500 0.7930
H: 0.1222 0.7500 0.0889
H: 0.3778 0.2500 0.5889
H: 0.6222 0.7500 0.4111
H: 0.8778 0.2500 0.9111


Computed powder diffractogram
Compound: Ac2CdSi3
Radiation: Cu Kα (weighted mean of Kα1 and Kα2)
Structure: the PBE geometry in Alexandria

The 10 most intense peaks (5 to 70 degrees two-theta), low angle first:
| Position (°2θ) | d (Å) | I (rel.) |
| --- | --- | --- |
| 20.29 | 4.377 | 26 |
| 24.08 | 3.696 | 17 |
| 26.85 | 3.320 | 40 |
| 30.37 | 2.943 | 100 |
| 36.15 | 2.484 | 30 |
| 36.38 | 2.469 | 13 |
| 39.32 | 2.291 | 17 |
| 40.14 | 2.246 | 17 |
| 48.26 | 1.886 | 16 |
| 55.12 | 1.666 | 18 |

Crystal structure
a = 4.4930 Å, b = 4.5828 Å, c = 14.7834 Å
α = 90.00°, β = 90.00°, γ = 90.00°
Sites, in units of the cell vectors:
Ac: 0.0000 0.0000 0.0000
Ac: 0.0000 0.5000 0.2631
Ac: 0.5000 0.0000 0.7631
Ac: 0.5000 0.5000 0.5000
Cd: 0.0000 0.0000 0.5909
Cd: 0.5000 0.5000 0.0909
Si: 0.0000 0.0000 0.4152
Si: 0.0000 0.5000 0.6811
Si: 0.0000 0.5000 0.8421
Si: 0.5000 0.0000 0.1811
Si: 0.5000 0.0000 0.3421
Si: 0.5000 0.5000 0.9152


Computed powder diffractogram
Compound: FeRhSe
Radiation: Cu Kα (weighted mean of Kα1 and Kα2)
Structure: the PBE geometry in Alexandria

The 10 most intense peaks (5 to 70 degrees two-theta), low angle first:
| Position (°2θ) | d (Å) | I (rel.) |
| --- | --- | --- |
| 14.86 | 5.960 | 42 |
| 26.09 | 3.415 | 15 |
| 28.75 | 3.105 | 18 |
| 40.12 | 2.248 | 85 |
| 42.26 | 2.139 | 100 |
| 43.30 | 2.090 | 21 |
| 45.32 | 2.001 | 26 |
| 45.53 | 1.992 | 37 |
| 48.66 | 1.871 | 34 |
| 49.75 | 1.833 | 23 |

Crystal structure
a = 8.6399 Å, b = 3.7421 Å, c = 6.1603 Å
α = 90.00°, β = 104.64°, γ = 90.00°
Sites, in units of the cell vectors:
Fe: 0.0000 0.0000 0.0000
Fe: 0.0379 0.5000 0.7370
Fe: 0.5000 0.5000 0.0000
Fe: 0.5379 0.0000 0.7370
Rh: 0.2220 0.5000 0.1525
Rh: 0.2600 0.0000 0.8445
Rh: 0.7220 0.0000 0.1525
Rh: 0.7600 0.5000 0.8445
Se: 0.3030 0.5000 0.6028
Se: 0.4496 0.0000 0.2498
Se: 0.8030 0.0000 0.6028
Se: 0.9496 0.5000 0.2498


Computed powder diffractogram
Compound: SmTm4Rh2
Radiation: Cu Kα (weighted mean of Kα1 and Kα2)
Structure: the PBE geometry in Alexandria

The 10 most intense peaks (5 to 70 degrees two-theta), low angle first:
| Position (°2θ) | d (Å) | I (rel.) |
| --- | --- | --- |
| 30.80 | 2.903 | 79 |
| 30.93 | 2.891 | 83 |
| 31.44 | 2.845 | 62 |
| 32.00 | 2.797 | 60 |
| 34.02 | 2.635 | 77 |
| 34.71 | 2.585 | 61 |
| 36.49 | 2.462 | 73 |
| 36.86 | 2.439 | 49 |
| 38.07 | 2.364 | 100 |
| 58.33 | 1.582 | 71 |

Crystal structure
a = 7.7026 Å, b = 6.3287 Å, c = 7.9143 Å
α = 90.00°, β = 112.74°, γ = 90.00°
Sites, in units of the cell vectors:
Sm: 0.0209 0.2500 0.1612
Sm: 0.9791 0.7500 0.8388
Tm: 0.2415 0.5016 0.5880
Tm: 0.2415 0.9984 0.5880
Tm: 0.3357 0.7500 0.2536
Tm: 0.3852 0.2500 0.0156
Tm: 0.6148 0.7500 0.9844
Tm: 0.6643 0.2500 0.7464
Tm: 0.7585 0.0016 0.4120
Tm: 0.7585 0.4984 0.4120
Rh: 0.0113 0.2500 0.7304
Rh: 0.4132 0.2500 0.3722
Rh: 0.5868 0.7500 0.6278
Rh: 0.9887 0.7500 0.2696


Computed powder diffractogram
Compound: Dy2Er2Th15
Radiation: Cu Kα (weighted mean of Kα1 and Kα2)
Structure: the PBE geometry in Alexandria

The 10 most intense peaks (5 to 70 degrees two-theta), low angle first:
| Position (°2θ) | d (Å) | I (rel.) |
| --- | --- | --- |
| 15.58 | 5.687 | 27 |
| 27.16 | 3.284 | 23 |
| 30.96 | 2.889 | 36 |
| 31.33 | 2.855 | 100 |
| 31.46 | 2.844 | 52 |
| 31.56 | 2.835 | 36 |
| 34.84 | 2.575 | 28 |
| 35.17 | 2.551 | 94 |
| 55.30 | 1.661 | 19 |
| 56.03 | 1.641 | 39 |

Crystal structure
a = 8.7466 Å, b = 8.7466 Å, c = 8.7466 Å
α = 81.12°, β = 81.12°, γ = 81.12°
Sites, in units of the cell vectors:
Dy: 0.1873 0.1873 0.1873
Dy: 0.8127 0.8127 0.8127
Er: 0.4024 0.4024 0.4024
Er: 0.5976 0.5976 0.5976
Th: 0.0000 0.5000 0.5000
Th: 0.1416 0.1415 0.6554
Th: 0.1416 0.6554 0.1416
Th: 0.2003 0.5000 0.7997
Th: 0.2003 0.7997 0.5000
Th: 0.3446 0.8585 0.8584
Th: 0.5000 0.0000 0.5000
Th: 0.5000 0.2003 0.7997
Th: 0.5000 0.5000 0.0000
Th: 0.5000 0.7997 0.2003
Th: 0.6554 0.1416 0.1416
Th: 0.7997 0.2003 0.5000
Th: 0.7997 0.5000 0.2003
Th: 0.8585 0.3446 0.8585
Th: 0.8585 0.8584 0.3446


Computed powder diffractogram
Compound: Hf7TiSn3
Radiation: Cu Kα (weighted mean of Kα1 and Kα2)
Structure: the PBE geometry in Alexandria

The 10 most intense peaks (5 to 70 degrees two-theta), low angle first:
| Position (°2θ) | d (Å) | I (rel.) |
| --- | --- | --- |
| 27.05 | 3.296 | 27 |
| 29.92 | 2.986 | 17 |
| 33.51 | 2.674 | 18 |
| 34.52 | 2.599 | 66 |
| 34.68 | 2.587 | 50 |
| 36.70 | 2.449 | 61 |
| 37.87 | 2.376 | 100 |
| 49.74 | 1.833 | 36 |
| 55.09 | 1.667 | 14 |
| 69.05 | 1.360 | 19 |

Crystal structure
a = 7.4395 Å, b = 7.4395 Å, c = 5.1971 Å
α = 110.35°, β = 110.35°, γ = 88.11°
Sites, in units of the cell vectors:
Hf: 0.0000 0.0000 0.0000
Hf: 0.0897 0.5339 0.3116
Hf: 0.3094 0.3094 0.8091
Hf: 0.4661 0.9103 0.6884
Hf: 0.5339 0.0897 0.3116
Hf: 0.6906 0.6906 0.1909
Hf: 0.9103 0.4661 0.6884
Ti: 0.0000 0.0000 0.5000
Sn: 0.2730 0.7270 0.0000
Sn: 0.5000 0.5000 0.5000
Sn: 0.7270 0.2730 0.0000


Computed powder diffractogram
Compound: Ag4TeBrCl2
Radiation: Cu Kα (weighted mean of Kα1 and Kα2)
Structure: the PBE geometry in Alexandria

The 10 most intense peaks (5 to 70 degrees two-theta), low angle first:
| Position (°2θ) | d (Å) | I (rel.) |
| --- | --- | --- |
| 12.83 | 6.899 | 26 |
| 26.57 | 3.355 | 62 |
| 27.11 | 3.289 | 16 |
| 32.69 | 2.739 | 100 |
| 42.61 | 2.122 | 66 |
| 42.97 | 2.105 | 17 |
| 45.09 | 2.011 | 19 |
| 48.67 | 1.871 | 15 |
| 53.10 | 1.725 | 16 |
| 56.31 | 1.634 | 14 |

Crystal structure
a = 8.6702 Å, b = 8.6702 Å, c = 7.4829 Å
α = 115.53°, β = 115.53°, γ = 101.42°
Sites, in units of the cell vectors:
Ag: 0.2113 0.7890 0.5162
Ag: 0.2110 0.7887 0.9838
Ag: 0.2463 0.2792 0.0127
Ag: 0.2792 0.2463 0.5127
Ag: 0.7208 0.7537 0.4873
Ag: 0.7537 0.7208 0.9873
Ag: 0.7890 0.2113 0.0162
Ag: 0.7887 0.2110 0.4838
Te: 0.0000 0.0000 0.0000
Te: 0.0000 0.0000 0.5000
Br: 0.0000 0.5000 0.0000
Br: 0.5000 0.0000 0.5000
Cl: 0.0000 0.5000 0.5000
Cl: 0.5000 0.0000 0.0000
Cl: 0.5000 0.5000 0.0000
Cl: 0.5000 0.5000 0.5000


Question: Number 8 is which compound?
Answer: Hf7TiSn3


What did the fourth record say?
Computed powder diffractogram
Compound: Ac2CdSi3
Radiation: Cu Kα (weighted mean of Kα1 and Kα2)
Structure: the PBE geometry in Alexandria

The 10 most intense peaks (5 to 70 degrees two-theta), low angle first:
| Position (°2θ) | d (Å) | I (rel.) |
| --- | --- | --- |
| 20.29 | 4.377 | 26 |
| 24.08 | 3.696 | 17 |
| 26.85 | 3.320 | 40 |
| 30.37 | 2.943 | 100 |
| 36.15 | 2.484 | 30 |
| 36.38 | 2.469 | 13 |
| 39.32 | 2.291 | 17 |
| 40.14 | 2.246 | 17 |
| 48.26 | 1.886 | 16 |
| 55.12 | 1.666 | 18 |

Crystal structure
a = 4.4930 Å, b = 4.5828 Å, c = 14.7834 Å
α = 90.00°, β = 90.00°, γ = 90.00°
Sites, in units of the cell vectors:
Ac: 0.0000 0.0000 0.0000
Ac: 0.0000 0.5000 0.2631
Ac: 0.5000 0.0000 0.7631
Ac: 0.5000 0.5000 0.5000
Cd: 0.0000 0.0000 0.5909
Cd: 0.5000 0.5000 0.0909
Si: 0.0000 0.0000 0.4152
Si: 0.0000 0.5000 0.6811
Si: 0.0000 0.5000 0.8421
Si: 0.5000 0.0000 0.1811
Si: 0.5000 0.0000 0.3421
Si: 0.5000 0.5000 0.9152